# Rb3TmNb2O8
Computed powder XRD pattern, Cu Kα (λ = 1.5418 Å). Input: the PBE geometry in Alexandria.

Crystal structure
```
14
Lattice="6.2390 0.0000 0.0000 -3.1195 5.4031 0.0000 0.0000 0.0000 8.0382" Properties=species:S:1:pos:R:3 pbc="T T T"
Rb 0.0000 0.0000 0.0000
Rb 0.0000 3.6021 5.5661
Rb 3.1195 1.8010 2.4720
Tm 0.0000 0.0000 4.0191
Nb 0.0000 3.6021 2.0397
Nb 3.1195 1.8010 5.9985
O 0.0000 1.8171 2.6947
O -1.5459 4.4946 2.6947
O 0.0000 3.6021 0.2194
O 1.5736 0.9085 5.3435
O 1.5459 4.4946 2.6947
O 3.1195 1.8010 7.8188
O 4.6653 0.9085 5.3435
O 3.1195 3.5860 5.3435
```

The 8 most intense peaks (2θ from 10° to 90°), by angle:
(0 0 1), d = 8.038 Å, 2θ 11.0, intensity 22
(0 1 2), d = 3.225 Å, 2θ 27.7, intensity 90
(1 1 0), d = 3.119 Å, 2θ 28.6, intensity 100
(2 0 2), d = 2.242 Å, 2θ 40.2, intensity 43
(1 2 2), d = 1.821 Å, 2θ 50.1, intensity 35
(3 0 0), d = 1.801 Å, 2θ 50.7, intensity 20
(1 1 4), d = 1.689 Å, 2θ 54.3, intensity 22
(2 2 0), d = 1.560 Å, 2θ 59.2, intensity 17